(1)
Starting from a crystal structure in Alexandria, relaxed with PBE, the PXRD pattern of TbEr5Tm4 was simulated for Cu Kα (weighted mean of Kα1 and Kα2).
Lines closer than 0.1° are merged.

Structural model:
a b c (Å): 5.3464 6.9309 8.6334
angles (deg): 89.98 72.06 89.95
Atoms (fractional coordinates):
Tb1 0.0000 0.0000 0.0000
Er1 0.9998 0.4990 0.0002
Er2 0.1998 0.4990 0.6010
Er3 0.3893 0.7485 0.2205
Er4 0.6105 0.7487 0.7797
Er5 0.7997 0.9995 0.3999
Tm1 0.2000 0.9999 0.6005
Tm2 0.3892 0.2502 0.2205
Tm3 0.6107 0.2498 0.7796
Tm4 0.8001 0.4986 0.3989

Main lines, low angle first (2θ from 5° to 70°):
d_spacing  two_theta  Rel. int.
2.863  31.24  88
2.799  31.97  100
2.673  33.52  46
2.649  33.84  43
1.881  48.38  32
1.474  63.09  26



(2)
Starting from a crystal structure in Alexandria, relaxed with PBE, the PXRD pattern of TbYErTm was simulated for Cu Kα (weighted mean of Kα1 and Kα2).
Lines closer than 0.1° are merged.

Structural model:
a b c (Å): 6.1164 6.1164 6.1164
angles (deg): 131.81 131.81 70.53
Atoms (fractional coordinates):
Tb1 0.0000 0.0000 0.0000
Y1 0.7500 0.2500 0.5000
Er1 0.5000 0.5000 0.0000
Tm1 0.2500 0.7500 0.5000

Main lines, low angle first (2θ from 5° to 70°):
d_spacing  two_theta  Rel. int.
4.467  19.88  5
2.883  31.02  100
2.497  35.97  50
1.766  51.78  36
1.506  61.59  42
1.442  64.66  12



(3)
Starting from a crystal structure in Alexandria, relaxed with PBE, the PXRD pattern of Tb2Y4Er2Tm was simulated for Cu Kα (weighted mean of Kα1 and Kα2).
Lines closer than 0.1° are merged.

Structural model:
a b c (Å): 9.4744 9.4744 9.4960
angles (deg): 115.32 115.32 21.79
Atoms (fractional coordinates):
Tb1 0.1486 0.1486 0.1675
Tb2 0.8514 0.8514 0.8325
Y1 0.1852 0.1852 0.8321
Y2 0.4815 0.4815 0.1670
Y3 0.5185 0.5185 0.8330
Y4 0.8148 0.8148 0.1679
Er1 0.3335 0.3335 0.5009
Er2 0.6665 0.6665 0.4991
Tm1 0.0000 0.0000 0.5000

Main lines, low angle first (2θ from 5° to 70°):
d_spacing  two_theta  Rel. int.
3.079  29.00  47
2.849  31.39  47
2.792  32.06  100
2.654  33.77  86
1.791  51.01  36
1.516  61.13  41



(4)
Starting from a crystal structure in Alexandria, relaxed with PBE, the PXRD pattern of Tb4YEr2Tm2 was simulated for Cu Kα (weighted mean of Kα1 and Kα2).
Lines closer than 0.1° are merged.

Structural model:
a b c (Å): 9.4413 9.4413 9.4652
angles (deg): 115.30 115.30 21.79
Atoms (fractional coordinates):
Tb1 0.0187 0.0187 0.3357
Tb2 0.3145 0.3145 0.6667
Tb3 0.6855 0.6855 0.3333
Tb4 0.9813 0.9813 0.6643
Y1 0.5000 0.5000 0.0000
Er1 0.3515 0.3515 0.3313
Er2 0.6485 0.6485 0.6687
Tm1 0.1676 0.1676 0.9994
Tm2 0.8324 0.8324 0.0006

Main lines, low angle first (2θ from 5° to 70°):
d_spacing  two_theta  Rel. int.
3.069  29.10  34
2.841  31.49  50
2.783  32.17  100
2.645  33.89  87
1.785  51.19  39
1.511  61.34  30



(5)
Starting from a crystal structure in Alexandria, relaxed with PBE, the PXRD pattern of Tb2YErTm6 was simulated for Cu Kα (weighted mean of Kα1 and Kα2).
Lines closer than 0.1° are merged.

Structural model:
a b c (Å): 8.6839 8.6839 9.4594
angles (deg): 94.02 94.02 118.24
Atoms (fractional coordinates):
Tb1 0.1960 0.3042 0.0439
Tb2 0.3042 0.1960 0.5439
Tb3 0.6958 0.8040 0.4561
Tb4 0.8040 0.6958 0.9561
Y1 0.0216 0.9784 0.2500
Y2 0.9784 0.0216 0.7500
Er1 0.4087 0.5913 0.7500
Er2 0.5913 0.4087 0.2500
Tm1 0.0213 0.5721 0.1853
Tm2 0.1277 0.7489 0.5570
Tm3 0.2511 0.8723 0.9430
Tm4 0.2890 0.5020 0.3809
Tm5 0.4279 0.9787 0.3147
Tm6 0.4980 0.7110 0.1191
Tm7 0.5020 0.2890 0.8809
Tm8 0.5721 0.0213 0.6853
Tm9 0.7110 0.4980 0.6191
Tm10 0.7489 0.1277 0.0570
Tm11 0.8723 0.2511 0.4430
Tm12 0.9787 0.4279 0.8147

Main lines, low angle first (2θ from 5° to 70°):
d_spacing  two_theta  Rel. int.
3.079  29.00  34
2.881  31.04  47
2.870  31.16  70
2.825  31.68  49
2.794  32.03  100
2.618  34.25  66



(6)
Starting from a crystal structure in Alexandria, relaxed with PBE, the PXRD pattern of Tb3Y2Er was simulated for Cu Kα (weighted mean of Kα1 and Kα2).
Lines closer than 0.1° are merged.

Structural model:
a b c (Å): 7.1738 7.1768 8.8209
angles (deg): 90.02 101.73 119.97
Atoms (fractional coordinates):
Tb1 0.9998 0.2493 0.0009
Tb2 0.0002 0.7507 0.9991
Tb3 0.2228 0.8620 0.6674
Tb4 0.2775 0.1382 0.3333
Tb5 0.7225 0.8618 0.6667
Tb6 0.7772 0.1380 0.3326
Y1 0.2223 0.3611 0.6671
Y2 0.2781 0.6392 0.3338
Y3 0.7219 0.3608 0.6662
Y4 0.7777 0.6389 0.3329
Er1 0.4999 0.2494 0.0007
Er2 0.5001 0.7506 0.9993

Main lines, low angle first (2θ from 5° to 70°):
d_spacing  two_theta  Rel. int.
3.085  28.94  44
2.858  31.30  48
2.798  31.99  100
2.660  33.70  87
1.794  50.90  37
1.520  60.97  42



(7)
Starting from a crystal structure in Alexandria, relaxed with PBE, the PXRD pattern of Tb7YEr3 was simulated for Cu Kα (weighted mean of Kα1 and Kα2).
Lines closer than 0.1° are merged.

Structural model:
a b c (Å): 6.9918 5.5236 9.8439
angles (deg): 90.00 110.27 90.00
Atoms (fractional coordinates):
Tb1 0.0000 0.0000 0.0000
Tb2 0.1468 0.5000 0.2913
Tb3 0.3228 0.5000 0.6421
Tb4 0.4192 0.0000 0.8307
Tb5 0.5808 0.0000 0.1693
Tb6 0.6772 0.5000 0.3579
Tb7 0.8532 0.5000 0.7087
Y1 0.0000 0.0000 0.5000
Er1 0.2795 0.5000 0.9985
Er2 0.5000 0.0000 0.5000
Er3 0.7205 0.5000 0.0015

Main lines, low angle first (2θ from 5° to 70°):
d_spacing  two_theta  Rel. int.
2.820  31.73  76
2.805  31.91  100
2.775  32.26  17
2.762  32.42  55
2.689  33.32  56
1.603  57.50  16



(8)
Starting from a crystal structure in Alexandria, relaxed with PBE, the PXRD pattern of Tb4Y4Er5 was simulated for Cu Kα (weighted mean of Kα1 and Kα2).
Lines closer than 0.1° are merged.

Structural model:
a b c (Å): 9.3773 9.3773 9.3773
angles (deg): 94.08 94.08 149.07
Atoms (fractional coordinates):
Tb1 0.1531 0.2297 0.3828
Tb2 0.2297 0.8469 0.0766
Tb3 0.7703 0.1531 0.9234
Tb4 0.8469 0.7703 0.6172
Y1 0.0781 0.6162 0.6943
Y2 0.3838 0.0781 0.4619
Y3 0.6162 0.9219 0.5381
Y4 0.9219 0.3838 0.3057
Er1 0.0000 0.0000 0.0000
Er2 0.3091 0.4609 0.7700
Er3 0.4609 0.6909 0.1518
Er4 0.5391 0.3091 0.8482
Er5 0.6909 0.5391 0.2300

Main lines, low angle first (2θ from 5° to 70°):
d_spacing  two_theta  Rel. int.
2.892  30.92  100
2.504  35.86  50
1.771  51.61  35
1.511  61.35  28
1.508  61.47  14
1.446  64.44  12